The following is a theoretical powder X-ray diffraction pattern of MnNiGe. It was derived from the PBE geometry in the Materials Project, using λ = 1.5418 Å (Cu Kα).

Lattice parameters (Å, degrees): 6.034 3.666 7.111 90.00 90.00 90.00
Fractional positions:
1 Mn 0.035 0.250 0.178
2 Mn 0.465 0.750 0.678
3 Mn 0.535 0.250 0.322
4 Mn 0.965 0.750 0.822
5 Ni 0.141 0.250 0.559
6 Ni 0.359 0.750 0.059
7 Ni 0.641 0.250 0.941
8 Ni 0.859 0.750 0.441
9 Ge 0.248 0.750 0.372
10 Ge 0.252 0.250 0.872
11 Ge 0.748 0.750 0.128
12 Ge 0.752 0.250 0.628

Largest 8 diffraction maxima, by angle, 2θ from 15° to 90°:
d = 2.351 Å, rel. 57, hkl 1 1 2
d = 2.330 Å, rel. 39, hkl 2 1 0
d = 2.214 Å, rel. 100, hkl 2 1 1
d = 2.206 Å, rel. 23, hkl 1 0 3
d = 1.991 Å, rel. 48, hkl 0 1 3
d = 1.890 Å, rel. 45, hkl 1 1 3
d = 1.833 Å, rel. 48, hkl 0 2 0
d = 1.751 Å, rel. 32, hkl 3 0 2